For La2MgW, DFT lattice parameters and positions (PBE) gives the simulated PXRD pattern in this record (λ = 1.5418 Å (Cu Kα)).

Structure:
```
data_La2MgW
_symmetry_space_group_name_H-M 'P 4 m m'
_symmetry_Int_Tables_number 99
_cell_length_a 3.750
_cell_length_b 3.750
_cell_length_c 7.739
_cell_angle_alpha 90.00
_cell_angle_beta 90.00
_cell_angle_gamma 90.00
loop_
_symmetry_equiv_pos_as_xyz
'x,y,z'
'-y,x,z'
'-x,-y,z'
'y,-x,z'
'-x,y,z'
'y,x,z'
'x,-y,z'
'-y,-x,z'
loop_
_atom_site_label
_atom_site_fract_x
_atom_site_fract_y
_atom_site_fract_z
_atom_site_occupancy
La1 0.000 0.000 0.000 1
La2 0.500 0.500 0.384 1
Mg1 0.000 0.000 0.612 1
W1 0.500 0.500 0.751 1
```

Most intense lines, 10° ≤ 2θ ≤ 90°, most intense first:
- (1 0 2), 33.27°, I = 100
- (1 1 0), 33.81°, I = 92
- (1 0 1), 26.41°, I = 80
- (1 0 3), 42.54°, I = 44
- (2 1 2), 60.14°, I = 37
- (1 1 3), 49.29°, I = 34
- (2 0 0), 48.56°, I = 33
- (0 0 1), 11.43°, I = 29
- (2 1 3), 66.50°, I = 23
- (1 0 0), 23.73°, I = 23

=====

For PmGaAg2Pd2, DFT lattice parameters and positions (PBE) gives the simulated PXRD pattern in this record (λ = 1.5418 Å (Cu Kα)).

Structure:
```
data_PmGaAg2Pd2
_symmetry_space_group_name_H-M 'I 4/m m m'
_symmetry_Int_Tables_number 139
_symmetry_space_group_name_Hall '-I 4 2'
_cell_length_a 5.322
_cell_length_b 5.322
_cell_length_c 10.103
_cell_angle_alpha 90.00
_cell_angle_beta 90.00
_cell_angle_gamma 90.00
loop_
_atom_site_label
_atom_site_fract_x
_atom_site_fract_y
_atom_site_fract_z
_atom_site_occupancy
Pm1 0.000 0.000 0.000 1
Ga1 0.000 0.000 0.500 1
Ag1 0.000 0.500 0.250 1
Pd1 0.000 0.000 0.267 1
```

Most intense lines, 10° ≤ 2θ ≤ 90°, most intense first:
- (2 0 0), 33.68°, I = 100
- (2 0 4), 49.77°, I = 61
- (0 0 4), 35.54°, I = 41
- (2 2 0), 48.37°, I = 35
- (1 1 2), 29.60°, I = 35
- (2 2 4), 61.45°, I = 32
- (0 0 2), 17.56°, I = 28
- (1 1 0), 23.64°, I = 25
- (4 2 0), 80.75°, I = 20
- (2 0 2), 38.23°, I = 15

=====

For RbCo2H, DFT lattice parameters and positions (PBE) gives the simulated PXRD pattern in this record (λ = 1.5418 Å (Cu Kα)).

Structure:
Cell: 7.869 7.869 7.869 Å, 90.00 90.00 90.00°
Space group Fd-3m (No. 227, origin choice 2)
Symmetry-distinct sites (fractional):
Rb1 0.125 0.125 0.125 (multiplicity 8)
Co1 0.000 0.000 0.500 (multiplicity 16)
H1 0.125 0.125 0.625 (multiplicity 8)

Most intense lines, 10° ≤ 2θ ≤ 90°, most intense first:
- (3 1 1), 37.92°, I = 100
- (2 2 0), 32.17°, I = 41
- (5 1 1), 61.20°, I = 31
- (2 2 2), 39.68°, I = 30
- (4 4 0), 67.31°, I = 25
- (4 2 2), 57.36°, I = 15
- (5 3 3), 79.95°, I = 10
- (6 2 2), 81.06°, I = 10
- (6 2 0), 76.58°, I = 6
- (4 0 0), 46.14°, I = 1

=====

For Pm3Tc2N6, DFT lattice parameters and positions (PBE) gives the simulated PXRD pattern in this record (λ = 1.5418 Å (Cu Kα)).

Structure:
```
data_Pm3Tc2N6
_symmetry_space_group_name_H-M 'I 4/m m m'
_symmetry_Int_Tables_number 139
_symmetry_space_group_name_Hall '-I 4 2'
_cell_length_a 3.922
_cell_length_b 3.922
_cell_length_c 19.426
_cell_angle_alpha 90.00
_cell_angle_beta 90.00
_cell_angle_gamma 90.00
loop_
_atom_site_label
_atom_site_fract_x
_atom_site_fract_y
_atom_site_fract_z
_atom_site_occupancy
Pm1 0.000 0.000 0.000 1
Pm2 0.000 0.000 0.183 1
Tc1 0.000 0.000 0.407 1
N1 0.000 0.000 0.302 1
N2 0.000 0.500 0.086 1
```

Most intense lines, 10° ≤ 2θ ≤ 90°, most intense first:
- (1 0 5), 32.44°, I = 100
- (1 1 0), 32.28°, I = 59
- (2 1 5), 57.66°, I = 39
- (2 0 0), 46.30°, I = 29
- (1 1 10), 57.96°, I = 13
- (3 1 0), 76.85°, I = 11
- (2 0 10), 67.92°, I = 10
- (1 1 6), 42.94°, I = 9
- (2 2 0), 67.55°, I = 9
- (1 0 7), 39.79°, I = 9

=====

For Mg6HgAu, DFT lattice parameters and positions (PBE) gives the simulated PXRD pattern in this record (λ = 1.5418 Å (Cu Kα)).

Structure:
```
data_Mg6HgAu
_symmetry_space_group_name_H-M 'R -3 m'
_symmetry_Int_Tables_number 166
_symmetry_space_group_name_Hall '-R 3 2"'
_cell_length_a 4.8584
_cell_length_b 4.8584
_cell_length_c 23.7262
_cell_angle_alpha 90.00
_cell_angle_beta 90.00
_cell_angle_gamma 120.00
loop_
_atom_site_label
_atom_site_fract_x
_atom_site_fract_y
_atom_site_fract_z
_atom_site_occupancy
Mg1 0.0000 0.0000 0.1215 1
Mg2 0.0000 0.0000 0.2498 1
Mg3 0.0000 0.0000 0.3725 1
Hg1 0.0000 0.0000 0.5000 1
Au1 0.0000 0.0000 0.0000 1
```

Most intense lines, 10° ≤ 2θ ≤ 90°, most intense first:
- (1 1 0), 37.05°, I = 100
- (0 1 2), 22.44°, I = 91
- (1 0 4), 25.96°, I = 49
- (2 0 2), 43.72°, I = 38
- (3 0 0), 66.73°, I = 27
- (2 0 8), 53.40°, I = 17
- (0 2 10), 58.59°, I = 16
- (1 0 10), 43.80°, I = 13
- (2 1 10), 71.38°, I = 12
- (0 2 4), 45.76°, I = 11

=====

For Sc6Cd5Tc, DFT lattice parameters and positions (PBE) gives the simulated PXRD pattern in this record (λ = 1.5418 Å (Cu Kα)).

Structure:
```
data_Sc6Cd5Tc
_symmetry_space_group_name_H-M 'C m m m'
_symmetry_Int_Tables_number 65
_symmetry_space_group_name_Hall '-C 2 2'
_cell_length_a 4.909
_cell_length_b 14.718
_cell_length_c 7.040
_cell_angle_alpha 90.00
_cell_angle_beta 90.00
_cell_angle_gamma 90.00
loop_
_atom_site_label
_atom_site_fract_x
_atom_site_fract_y
_atom_site_fract_z
_atom_site_occupancy
Sc1 0.000 0.000 0.227 1
Sc2 0.000 0.345 0.236 1
Cd1 0.000 0.171 0.500 1
Cd2 0.000 0.173 0.000 1
Cd3 0.000 0.500 0.500 1
Tc1 0.000 0.500 0.000 1
```

Most intense lines, 10° ≤ 2θ ≤ 90°, most intense first:
- (1 3 2), 36.36°, I = 100
- (2 0 0), 36.62°, I = 49
- (3 3 2), 65.76°, I = 30
- (1 3 0), 25.67°, I = 24
- (2 0 4), 65.24°, I = 16
- (2 6 0), 52.76°, I = 16
- (0 0 2), 25.30°, I = 12
- (0 6 2), 45.04°, I = 11
- (2 6 4), 77.21°, I = 9
- (0 0 4), 51.96°, I = 8

=====

For Tb4TlInHg2, DFT lattice parameters and positions (PBE) gives the simulated PXRD pattern in this record (λ = 1.5418 Å (Cu Kα)).

Structure:
```
data_Tb4TlInHg2
_symmetry_space_group_name_H-M 'R -3 m'
_symmetry_Int_Tables_number 166
_symmetry_space_group_name_Hall '-R 3 2"'
_cell_length_a 5.3291
_cell_length_b 5.3291
_cell_length_c 26.1053
_cell_angle_alpha 90.00
_cell_angle_beta 90.00
_cell_angle_gamma 120.00
loop_
_atom_site_label
_atom_site_fract_x
_atom_site_fract_y
_atom_site_fract_z
_atom_site_occupancy
Tb1 0.0000 0.0000 0.1250 1
Tb2 0.0000 0.0000 0.3751 1
Tl1 0.0000 0.0000 0.0000 1
In1 0.0000 0.0000 0.5000 1
Hg1 0.0000 0.0000 0.2484 1
```

Most intense lines, 10° ≤ 2θ ≤ 90°, most intense first:
- (1 1 0), 33.64°, I = 100
- (3 0 0), 60.15°, I = 38
- (2 0 8), 48.31°, I = 18
- (3 1 8), 80.63°, I = 17
- (2 2 0), 70.71°, I = 12
- (0 0 6), 20.41°, I = 1
- (1 0 1), 19.53°, I = 1
- (0 0 3), 10.17°, I = 1
- (0 1 5), 25.76°, I = 1
- (1 1 6), 39.66°, I = 1

=====

For CdGa2Cl8, DFT lattice parameters and positions (PBE) gives the simulated PXRD pattern in this record (λ = 1.5418 Å (Cu Kα)).

Structure:
```
data_CdGa2Cl8
_symmetry_space_group_name_H-M 'P 1 c 1'
_symmetry_Int_Tables_number 7
_cell_length_a 7.247
_cell_length_b 7.222
_cell_length_c 13.354
_cell_angle_alpha 90.00
_cell_angle_beta 92.04
_cell_angle_gamma 90.00
loop_
_symmetry_equiv_pos_as_xyz
'x,y,z'
'x,-y,z+1/2'
loop_
_atom_site_label
_atom_site_fract_x
_atom_site_fract_y
_atom_site_fract_z
_atom_site_occupancy
Cd1 0.000 0.229 0.000 1
Ga1 0.144 0.064 0.238 1
Ga2 0.556 0.400 0.037 1
Cl1 0.036 0.343 0.195 1
Cl2 0.155 0.066 0.585 1
Cl3 0.299 0.406 0.938 1
Cl4 0.402 0.071 0.320 1
Cl5 0.519 0.457 0.676 1
Cl6 0.656 0.109 0.052 1
Cl7 0.788 0.477 0.451 1
Cl8 0.923 0.087 0.818 1
```

Most intense lines, 10° ≤ 2θ ≤ 90°, most intense first:
- (0 1 1), 13.94°, I = 100
- (1 1 0), 17.34°, I = 41
- (1 3 -3), 44.37°, I = 29
- (1 0 2), 18.41°, I = 26
- (2 0 -2), 27.60°, I = 25
- (2 1 -1), 28.14°, I = 24
- (0 1 2), 18.10°, I = 22
- (0 0 2), 13.27°, I = 22
- (1 0 0), 12.22°, I = 18
- (2 0 0), 24.60°, I = 17